No. 1
Starting from a PBE-relaxed structure, the powder X-ray diffraction pattern of ZnGeP2 was computed for Cu Kα (weighted mean of Kα1 and Kα2).
No peak broadening, texture or thermal motion is included.

Crystal structure
a = 3.8484 Å, b = 3.8484 Å, c = 5.5224 Å
α = 90.00°, β = 90.00°, γ = 90.00°
Sites, in units of the cell vectors:
Zn (0.0000, 0.0000, 0.0000)
Ge (0.5000, 0.5000, 0.5000)
P (0.0000, 0.5000, 0.2465)
P (0.5000, 0.0000, 0.7535)

Peak list (8 most intense, 10° ≤ 2θ ≤ 90°, by angle)
28.27°, I 100; 32.91°, I 10; 46.88°, I 41; 47.24°, I 20; 55.32°, I 14; 55.96°, I 28; 75.65°, I 11; 87.62°, I 13

No. 2
Starting from a PBE-relaxed structure, the powder X-ray diffraction pattern of PaGe3 was computed for Cu Kα (weighted mean of Kα1 and Kα2).
No peak broadening, texture or thermal motion is included.

Crystal structure
a = 5.5382 Å, b = 5.5382 Å, c = 5.5382 Å
α = 136.27°, β = 136.27°, γ = 63.57°
Sites, in units of the cell vectors:
Pa (0.0000, 0.0000, 0.0000)
Ge (0.2500, 0.7500, 0.5000)
Ge (0.5000, 0.5000, 0.0000)
Ge (0.7500, 0.2500, 0.5000)

Peak list (8 most intense, 10° ≤ 2θ ≤ 90°, by angle)
18.85°, I 13; 23.54°, I 32; 36.23°, I 100; 38.24°, I 22; 43.89°, I 29; 59.60°, I 24; 67.81°, I 16; 75.64°, I 24

No. 3
Starting from a PBE-relaxed structure, the powder X-ray diffraction pattern of Pa4Ge6Pd5 was computed for Cu Kα (weighted mean of Kα1 and Kα2).
No peak broadening, texture or thermal motion is included.

Crystal structure
a = 9.6900 Å, b = 9.6900 Å, c = 14.9508 Å
α = 90.00°, β = 90.00°, γ = 154.71°
Sites, in units of the cell vectors:
Pa (0.0195, 0.9805, 0.5000)
Pa (0.0383, 0.9617, 0.7678)
Pa (0.1627, 0.8373, 0.3043)
Pa (0.1804, 0.8196, 0.9434)
Pa (0.8196, 0.1804, 0.4434)
Pa (0.8373, 0.1627, 0.8043)
Pa (0.9617, 0.0383, 0.2678)
Pa (0.9805, 0.0195, 0.0000)
Ge (0.1083, 0.8917, 0.1176)
Ge (0.2220, 0.7780, 0.4869)
Ge (0.2367, 0.7633, 0.7606)
Ge (0.4188, 0.5812, 0.1272)
Ge (0.4279, 0.5721, 0.4159)
Ge (0.4438, 0.5562, 0.8540)
Ge (0.5562, 0.4438, 0.3540)
Ge (0.5721, 0.4279, 0.9159)
Ge (0.5812, 0.4188, 0.6272)
Ge (0.7633, 0.2367, 0.2606)
Ge (0.7780, 0.2220, 0.9869)
Ge (0.8917, 0.1083, 0.6176)
Pd (0.1527, 0.8473, 0.6300)
Pd (0.3095, 0.6905, 0.6174)
Pd (0.3433, 0.6567, 0.2802)
Pd (0.3538, 0.6462, 0.9755)
Pd (0.4527, 0.5473, 0.6794)
Pd (0.5473, 0.4527, 0.1794)
Pd (0.6462, 0.3538, 0.4755)
Pd (0.6567, 0.3433, 0.7802)
Pd (0.6905, 0.3095, 0.1174)
Pd (0.8473, 0.1527, 0.1300)

Peak list (8 most intense, 10° ≤ 2θ ≤ 90°, by angle)
28.02°, I 39; 32.27°, I 72; 33.94°, I 20; 35.02°, I 26; 36.04°, I 24; 36.58°, I 100; 40.02°, I 24; 42.63°, I 50